# Na2MgV2Cd2O8
Computed PXRD pattern, Cu Kα. Input: a PBE+U-relaxed structure.
Kinematic intensities with the Lorentz-polarization factor, no thermal factor.

Cell and atoms:
```
data_Na2MgV2Cd2O8
_cell_length_a 9.7872
_cell_length_b 6.2515
_cell_length_c 7.3094
_cell_angle_alpha 90.00
_cell_angle_beta 90.26
_cell_angle_gamma 90.00
_symmetry_space_group_name_H-M 'C 1 2/m 1'
_symmetry_Int_Tables_number 12
_symmetry_space_group_name_Hall '-C 2y'
loop_
_atom_site_label
_atom_site_fract_x
_atom_site_fract_y
_atom_site_fract_z
_atom_site_occupancy
Na1 0.0000 0.0000 0.0000 1
Na2 0.0000 0.0000 0.5000 1
Mg1 0.0000 0.5000 0.0000 1
V1 0.1663 0.5000 0.7528 1
Cd1 0.1667 0.5000 0.2996 1
O1 0.0265 0.2929 0.7709 1
O2 0.2209 0.5000 0.9865 1
O3 0.2283 0.0000 0.4459 1
```

Main lines, most intense first (2θ = 5–70°):
- 2θ 16.83, I = 100, (1 1 0)
- 2θ 30.92, I = 97, (3 1 0)
- 2θ 28.56, I = 88, (0 2 0)
- 2θ 29.72, I = 81, (1 1 -2)
- 2θ 42.34, I = 39, (2 2 2)
- 2θ 24.35, I = 37, (0 0 2)